Diffraction record for Ca2HI3. The XRD peak list is calculated, not measured: it uses a PBE-relaxed structure and Cu Kα (weighted mean of Kα1 and Kα2).
Intensities are scaled so that the largest is 100.

Most intense lines, 15 to 90 degrees two-theta, most intense first:
2θ 24.66, d = 3.610 Å, intensity 100; 2θ 28.20, d = 3.165 Å, intensity 96; 2θ 27.19, d = 3.279 Å, intensity 52; 2θ 20.83, d = 4.263 Å, intensity 45; 2θ 36.32, d = 2.473 Å, intensity 43; 2θ 41.07, d = 2.198 Å, intensity 34; 2θ 30.53, d = 2.928 Å, intensity 34; 2θ 39.89, d = 2.260 Å, intensity 33

Crystal structure
Cell: 9.2927 9.2927 11.8278 Å, 116.34 116.34 28.15°
Fractional positions:
Ca: 0.0840 0.0840 0.4532
Ca: 0.3602 0.3602 0.1882
Ca: 0.6398 0.6398 0.8118
Ca: 0.9160 0.9160 0.5468
H: 0.0590 0.0590 0.6278
H: 0.9410 0.9410 0.3722
I: 0.1554 0.1554 0.0004
I: 0.2874 0.2874 0.3801
I: 0.4527 0.4527 0.7504
I: 0.5473 0.5473 0.2496
I: 0.7126 0.7126 0.6199
I: 0.8446 0.8446 0.9996


Diffraction record for CaHI2. The XRD peak list is calculated, not measured: it uses a PBE-relaxed structure and Cu Kα (weighted mean of Kα1 and Kα2).
Intensities are scaled so that the largest is 100.

Most intense lines, 15 to 90 degrees two-theta, most intense first:
2θ 24.40, d = 3.648 Å, intensity 100; 2θ 21.44, d = 4.145 Å, intensity 100; 2θ 30.73, d = 2.910 Å, intensity 85; 2θ 21.75, d = 4.087 Å, intensity 84; 2θ 30.51, d = 2.930 Å, intensity 74; 2θ 26.61, d = 3.350 Å, intensity 70; 2θ 24.93, d = 3.571 Å, intensity 60; 2θ 36.37, d = 2.470 Å, intensity 52

Crystal structure
Cell: 4.2896 8.1770 8.3278 Å, 91.37 104.92 90.40°
Fractional positions:
Ca: 0.0000 0.0000 0.0000
Ca: 0.2698 0.1266 0.5357
H: 0.0262 0.2302 0.2250
H: 0.2056 0.2302 0.2251
I: 0.3806 0.8131 0.7655
I: 0.4628 0.2706 0.9181
I: 0.6458 0.9021 0.2941
I: 0.7528 0.3832 0.4951


Diffraction record for CaH2I2. The XRD peak list is calculated, not measured: it uses a PBE-relaxed structure and Cu Kα (weighted mean of Kα1 and Kα2).
Intensities are scaled so that the largest is 100.

Most intense lines, 15 to 90 degrees two-theta, most intense first:
2θ 30.38, d = 2.942 Å, intensity 100; 2θ 24.90, d = 3.576 Å, intensity 95; 2θ 24.58, d = 3.621 Å, intensity 88; 2θ 29.76, d = 3.002 Å, intensity 56; 2θ 39.94, d = 2.257 Å, intensity 53; 2θ 24.68, d = 3.607 Å, intensity 48; 2θ 37.33, d = 2.409 Å, intensity 48; 2θ 25.07, d = 3.552 Å, intensity 44

Crystal structure
Cell: 4.5103 7.8395 9.0697 Å, 90.89 91.35 90.04°
Fractional positions:
Ca: 0.2500 0.2499 0.0005
Ca: 0.7500 0.7501 0.9995
H: 0.1758 0.2320 0.4903
H: 0.3204 0.2740 0.5124
H: 0.6796 0.7260 0.4876
H: 0.8242 0.7680 0.5097
I: 0.2410 0.9143 0.8043
I: 0.2591 0.5866 0.1950
I: 0.7409 0.4134 0.8050
I: 0.7590 0.0857 0.1957


Diffraction record for CaH2I. The XRD peak list is calculated, not measured: it uses a PBE-relaxed structure and Cu Kα (weighted mean of Kα1 and Kα2).
Intensities are scaled so that the largest is 100.

Most intense lines, 15 to 90 degrees two-theta, most intense first:
2θ 30.34, d = 2.946 Å, intensity 100; 2θ 21.54, d = 4.126 Å, intensity 57; 2θ 43.66, d = 2.073 Å, intensity 36; 2θ 46.27, d = 1.962 Å, intensity 30; 2θ 20.63, d = 4.306 Å, intensity 29; 2θ 40.44, d = 2.230 Å, intensity 22; 2θ 25.71, d = 3.465 Å, intensity 19; 2θ 67.34, d = 1.390 Å, intensity 19

Crystal structure
Cell: 8.8341 8.8341 8.8341 Å, 150.75 150.75 41.84°
Fractional positions:
Ca: 0.3750 0.6250 0.7500
Ca: 0.6250 0.3750 0.2500
H: 0.0000 0.5000 0.5000
H: 0.5000 0.0000 0.0000
H: 0.5000 0.5000 0.0000
H: 0.5000 0.5000 0.5000
I: 0.1250 0.8750 0.2500
I: 0.8750 0.1250 0.7500


Diffraction record for CaH4I3N. The XRD peak list is calculated, not measured: it uses a PBE-relaxed structure and Cu Kα (weighted mean of Kα1 and Kα2).
Intensities are scaled so that the largest is 100.

Most intense lines, 15 to 90 degrees two-theta, most intense first:
2θ 23.82, d = 3.735 Å, intensity 100; 2θ 26.77, d = 3.331 Å, intensity 40; 2θ 31.04, d = 2.881 Å, intensity 32; 2θ 22.69, d = 3.919 Å, intensity 31; 2θ 50.41, d = 1.810 Å, intensity 24; 2θ 40.53, d = 2.226 Å, intensity 24; 2θ 44.39, d = 2.041 Å, intensity 22; 2θ 34.21, d = 2.621 Å, intensity 19

Crystal structure
Cell: 8.4974 7.8389 14.7164 Å, 90.00 90.01 90.00°
Fractional positions:
Ca: 0.0001 0.0000 0.0000
Ca: 0.9999 0.5000 0.0000
Ca: 0.5000 0.0063 0.5000
Ca: 0.5000 0.5063 0.5000
H: 0.0011 0.4837 0.6663
H: 0.0524 0.1575 0.2729
H: 0.0635 0.1596 0.3888
H: 0.1159 0.6599 0.6635
H: 0.3840 0.1559 0.8376
H: 0.4365 0.6563 0.1100
H: 0.4478 0.6583 0.2259
H: 0.4989 0.4815 0.1670
H: 0.5011 0.9815 0.8330
H: 0.5522 0.1583 0.7741
H: 0.5635 0.1563 0.8900
H: 0.6160 0.6559 0.1624
H: 0.8841 0.1599 0.3365
H: 0.9365 0.6596 0.6112
H: 0.9476 0.6575 0.7271
H: 0.9989 0.9837 0.3337
I: 0.0945 0.2504 0.8408
I: 0.1921 0.2505 0.1266
I: 0.2136 0.2568 0.5313
I: 0.2858 0.7504 0.9674
I: 0.3101 0.7566 0.3724
I: 0.4042 0.7567 0.6589
I: 0.5958 0.2567 0.3411
I: 0.6899 0.2566 0.6276
I: 0.7142 0.2504 0.0326
I: 0.7864 0.7568 0.4687
I: 0.8079 0.7505 0.8734
I: 0.9055 0.7504 0.1592
N: 0.9997 0.1151 0.3330
N: 0.0003 0.6151 0.6670
N: 0.5002 0.1130 0.8337
N: 0.4998 0.6130 0.1663


Diffraction record for CaH4I3N. The XRD peak list is calculated, not measured: it uses a PBE-relaxed structure and Cu Kα (weighted mean of Kα1 and Kα2).
Intensities are scaled so that the largest is 100.

Most intense lines, 15 to 90 degrees two-theta, most intense first:
2θ 25.22, d = 3.532 Å, intensity 100; 2θ 25.44, d = 3.501 Å, intensity 81; 2θ 23.80, d = 3.739 Å, intensity 70; 2θ 25.67, d = 3.470 Å, intensity 57; 2θ 46.54, d = 1.951 Å, intensity 31; 2θ 38.30, d = 2.350 Å, intensity 28; 2θ 40.00, d = 2.254 Å, intensity 27; 2θ 21.98, d = 4.044 Å, intensity 26

Crystal structure
Cell: 10.7083 4.7004 18.5127 Å, 90.00 90.00 90.00°
Fractional positions:
Ca: 0.1498 0.2500 0.0685
Ca: 0.3502 0.7500 0.5685
Ca: 0.6498 0.2500 0.4315
Ca: 0.8502 0.7500 0.9315
H: 0.0416 0.2500 0.6498
H: 0.0453 0.5723 0.2858
H: 0.0453 0.9277 0.2858
H: 0.0864 0.2500 0.7370
H: 0.4136 0.7500 0.2370
H: 0.4547 0.0723 0.7858
H: 0.4547 0.4277 0.7858
H: 0.4584 0.7500 0.1498
H: 0.5416 0.2500 0.8502
H: 0.5453 0.5723 0.2142
H: 0.5453 0.9277 0.2142
H: 0.5864 0.2500 0.7630
H: 0.9136 0.7500 0.2630
H: 0.9547 0.0723 0.7142
H: 0.9547 0.4277 0.7142
H: 0.9584 0.7500 0.3502
I: 0.0507 0.2500 0.9063
I: 0.1655 0.2500 0.5314
I: 0.2166 0.2500 0.2333
I: 0.2834 0.7500 0.7333
I: 0.3345 0.7500 0.0314
I: 0.4493 0.7500 0.4063
I: 0.5507 0.2500 0.5937
I: 0.6655 0.2500 0.9686
I: 0.7166 0.2500 0.2667
I: 0.7834 0.7500 0.7667
I: 0.8345 0.7500 0.4686
I: 0.9493 0.7500 0.0937
N: 0.0098 0.2500 0.7032
N: 0.4902 0.7500 0.2032
N: 0.5098 0.2500 0.7968
N: 0.9902 0.7500 0.2968


Diffraction record for CaH2I2O7. The XRD peak list is calculated, not measured: it uses a PBE-relaxed structure and Cu Kα (weighted mean of Kα1 and Kα2).
Intensities are scaled so that the largest is 100.

Most intense lines, 15 to 90 degrees two-theta, most intense first:
2θ 28.65, d = 3.116 Å, intensity 100; 2θ 27.41, d = 3.254 Å, intensity 99; 2θ 21.04, d = 4.222 Å, intensity 95; 2θ 23.02, d = 3.864 Å, intensity 72; 2θ 17.35, d = 5.111 Å, intensity 61; 2θ 24.64, d = 3.614 Å, intensity 59; 2θ 28.98, d = 3.081 Å, intensity 54; 2θ 35.25, d = 2.546 Å, intensity 44

Crystal structure
Cell: 8.4702 10.2140 7.7499 Å, 90.00 94.59 90.00°
Fractional positions:
Ca: 0.2144 0.0073 0.1690
Ca: 0.2144 0.4927 0.6690
Ca: 0.7856 0.5073 0.3310
Ca: 0.7856 0.9927 0.8310
H: 0.2139 0.0778 0.7937
H: 0.2139 0.4222 0.2937
H: 0.3722 0.5048 0.3342
H: 0.3722 0.9952 0.8342
H: 0.6278 0.0048 0.1658
H: 0.6278 0.4952 0.6658
H: 0.7861 0.5778 0.7063
H: 0.7861 0.9222 0.2063
I: 0.0231 0.6889 0.0350
I: 0.0231 0.8111 0.5350
I: 0.4842 0.6873 0.0572
I: 0.4842 0.8127 0.5572
I: 0.5158 0.1873 0.4428
I: 0.5158 0.3127 0.9428
I: 0.9769 0.1889 0.4650
I: 0.9769 0.3111 0.9650
O: 0.0008 0.5992 0.8275
O: 0.0008 0.9008 0.3275
O: 0.0144 0.6423 0.4531
O: 0.0144 0.8577 0.9531
O: 0.1753 0.1681 0.3955
O: 0.1753 0.3319 0.8955
O: 0.3025 0.0617 0.8815
O: 0.3025 0.4383 0.3815
O: 0.3377 0.5657 0.9765
O: 0.3377 0.9343 0.4765
O: 0.3447 0.6881 0.6167
O: 0.3447 0.8119 0.1167
O: 0.4675 0.1213 0.2232
O: 0.4675 0.3787 0.7232
O: 0.5325 0.6213 0.2768
O: 0.5325 0.8787 0.7768
O: 0.6553 0.1881 0.8833
O: 0.6553 0.3119 0.3833
O: 0.6623 0.0657 0.5235
O: 0.6623 0.4343 0.0235
O: 0.6975 0.5617 0.6185
O: 0.6975 0.9383 0.1185
O: 0.8247 0.6681 0.1045
O: 0.8247 0.8319 0.6045
O: 0.9856 0.1423 0.0469
O: 0.9856 0.3577 0.5469
O: 0.9992 0.0992 0.6725
O: 0.9992 0.4008 0.1725


Diffraction record for Rb2CaHI6. The XRD peak list is calculated, not measured: it uses a PBE-relaxed structure and Cu Kα (weighted mean of Kα1 and Kα2).
Intensities are scaled so that the largest is 100.

Most intense lines, 15 to 90 degrees two-theta, most intense first:
2θ 26.05, d = 3.420 Å, intensity 100; 2θ 32.19, d = 2.780 Å, intensity 31; 2θ 25.68, d = 3.469 Å, intensity 29; 2θ 41.63, d = 2.170 Å, intensity 27; 2θ 53.78, d = 1.705 Å, intensity 18; 2θ 45.50, d = 1.994 Å, intensity 15; 2θ 53.58, d = 1.711 Å, intensity 11; 2θ 46.17, d = 1.966 Å, intensity 10

Crystal structure
Cell: 8.8923 8.8923 8.8923 Å, 127.51 127.51 77.42°
Fractional positions:
Rb: 0.2500 0.7500 0.5000
Rb: 0.7500 0.2500 0.5000
Ca: 0.0000 0.0000 0.0000
H: 0.5000 0.5000 0.0000
I: 0.2233 0.2233 0.0000
I: 0.2789 0.2789 0.5578
I: 0.2789 0.7211 0.0000
I: 0.7211 0.2789 0.0000
I: 0.7211 0.7211 0.4422
I: 0.7767 0.7767 0.0000


Diffraction record for CaInH8Ir2. The XRD peak list is calculated, not measured: it uses a PBE-relaxed structure and Cu Kα (weighted mean of Kα1 and Kα2).
Intensities are scaled so that the largest is 100.

Most intense lines, 15 to 90 degrees two-theta, most intense first:
2θ 29.73, d = 3.005 Å, intensity 100; 2θ 37.54, d = 2.396 Å, intensity 76; 2θ 15.25, d = 5.809 Å, intensity 50; 2θ 42.34, d = 2.135 Å, intensity 34; 2θ 23.75, d = 3.746 Å, intensity 33; 2θ 40.74, d = 2.215 Å, intensity 28; 2θ 48.60, d = 1.873 Å, intensity 25; 2θ 62.99, d = 1.476 Å, intensity 23

Crystal structure
Cell: 6.4337 6.4337 6.4337 Å, 43.73 43.73 43.73°
Fractional positions:
Ca: 0.0000 0.0000 0.0000
In: 0.5000 0.5000 0.5000
H: 0.0920 0.5590 0.5590
H: 0.3147 0.3147 0.3147
H: 0.4410 0.4410 0.9080
H: 0.4410 0.9080 0.4410
H: 0.5590 0.0920 0.5590
H: 0.5590 0.5590 0.0920
H: 0.6853 0.6853 0.6853
H: 0.9080 0.4410 0.4410
Ir: 0.2228 0.2228 0.2228
Ir: 0.7772 0.7772 0.7772


Diffraction record for Sr2CaInH. The XRD peak list is calculated, not measured: it uses a PBE-relaxed structure and Cu Kα (weighted mean of Kα1 and Kα2).
Intensities are scaled so that the largest is 100.

Most intense lines, 15 to 90 degrees two-theta, most intense first:
2θ 29.54, d = 3.024 Å, intensity 100; 2θ 33.73, d = 2.657 Å, intensity 36; 2θ 57.76, d = 1.596 Å, intensity 29; 2θ 49.57, d = 1.839 Å, intensity 23; 2θ 35.24, d = 2.547 Å, intensity 16; 2θ 59.76, d = 1.547 Å, intensity 13; 2θ 48.44, d = 1.879 Å, intensity 12; 2θ 61.31, d = 1.512 Å, intensity 12

Crystal structure
Cell: 5.3148 5.3148 5.0942 Å, 90.00 90.00 90.00°
Fractional positions:
Sr: 0.0000 0.5000 0.0000
Sr: 0.5000 0.0000 0.0000
Ca: 0.0000 0.0000 0.5000
In: 0.5000 0.5000 0.5000
H: 0.0000 0.0000 0.0000


Diffraction record for CaH7Ir2. The XRD peak list is calculated, not measured: it uses a PBE-relaxed structure and Cu Kα (weighted mean of Kα1 and Kα2).
Intensities are scaled so that the largest is 100.

Most intense lines, 15 to 90 degrees two-theta, most intense first:
2θ 32.14, d = 2.785 Å, intensity 100; 2θ 24.49, d = 3.635 Å, intensity 96; 2θ 20.49, d = 4.334 Å, intensity 88; 2θ 35.02, d = 2.562 Å, intensity 81; 2θ 32.29, d = 2.773 Å, intensity 73; 2θ 46.20, d = 1.965 Å, intensity 73; 2θ 43.20, d = 2.094 Å, intensity 51; 2θ 40.94, d = 2.204 Å, intensity 48

Crystal structure
Cell: 5.1452 5.1452 3.6345 Å, 90.00 90.00 114.78°
Fractional positions:
Ca: 0.0000 0.0000 0.0000
H: 0.0598 0.3354 0.5000
H: 0.3065 0.6935 0.0000
H: 0.3354 0.0598 0.5000
H: 0.5000 0.5000 0.5000
H: 0.6646 0.9402 0.5000
H: 0.6935 0.3065 0.0000
H: 0.9402 0.6646 0.5000
Ir: 0.3000 0.7000 0.5000
Ir: 0.7000 0.3000 0.5000